Calculated PXRD pattern
Compound: NiAs2
Radiation: Cu Kα (weighted mean of Kα1 and Kα2)
Structure: the PBE geometry in the Materials Project
Neutral-atom scattering factors, no anomalous dispersion.

Cell and atoms:
a = 5.787 Å, b = 5.787 Å, c = 5.787 Å
α = 90.00°, β = 90.00°, γ = 90.00°
Fractional coordinates of all 12 atoms:
Ni 0.000 0.000 0.000
Ni 0.000 0.500 0.500
Ni 0.500 0.000 0.500
Ni 0.500 0.500 0.000
As 0.123 0.623 0.877
As 0.123 0.877 0.377
As 0.377 0.123 0.877
As 0.377 0.377 0.377
As 0.623 0.623 0.623
As 0.623 0.877 0.123
As 0.877 0.123 0.623
As 0.877 0.377 0.123

Largest 10 diffraction maxima, by angle, 10° ≤ 2θ ≤ 80°:
30.9 deg, rel. 27
34.7 deg, rel. 100
38.1 deg, rel. 79
44.3 deg, rel. 18
52.4 deg, rel. 72
57.4 deg, rel. 25
59.8 deg, rel. 41
73.1 deg, rel. 6
75.2 deg, rel. 20
77.3 deg, rel. 10


Calculated PXRD pattern
Compound: RbBC4N4
Radiation: Cu Kα (weighted mean of Kα1 and Kα2)
Structure: the PBE geometry in the Materials Project
Neutral-atom scattering factors, no anomalous dispersion.

Cell and atoms:
a = 9.147 Å, b = 9.147 Å, c = 9.147 Å
α = 132.98°, β = 132.98°, γ = 68.69°
Fractional coordinates of all 20 atoms:
Rb 0.375 0.125 0.250
Rb 0.625 0.875 0.750
B 0.125 0.375 0.750
B 0.875 0.625 0.250
C 0.084 0.586 0.301
C 0.086 0.285 0.501
C 0.215 0.217 0.801
C 0.283 0.584 0.999
C 0.717 0.416 0.001
C 0.785 0.783 0.199
C 0.914 0.715 0.499
C 0.916 0.414 0.699
N 0.054 0.215 0.316
N 0.238 0.554 0.339
N 0.285 0.101 0.839
N 0.399 0.738 0.184
N 0.601 0.262 0.816
N 0.715 0.899 0.161
N 0.762 0.446 0.661
N 0.946 0.785 0.684

Largest 10 diffraction maxima, by angle, 10° ≤ 2θ ≤ 80°:
13.5 deg, rel. 19
20.8 deg, rel. 100
28.0 deg, rel. 31
32.1 deg, rel. 14
32.7 deg, rel. 30
34.2 deg, rel. 37
34.8 deg, rel. 15
39.8 deg, rel. 10
40.9 deg, rel. 18
53.9 deg, rel. 12


Calculated PXRD pattern
Compound: NaCu2H2Se2O10
Radiation: Cu Kα (weighted mean of Kα1 and Kα2)
Structure: the PBE geometry in the Materials Project
Neutral-atom scattering factors, no anomalous dispersion.

Cell and atoms:
a = 5.684 Å, b = 5.684 Å, c = 7.926 Å
α = 115.23°, β = 115.23°, γ = 68.06°
Fractional coordinates of all 17 atoms:
Na 0.000 0.000 0.000
Cu 0.000 0.500 0.500
Cu 0.500 0.000 0.500
H 0.211 0.211 0.704
H 0.789 0.789 0.296
Se 0.416 0.416 0.201
Se 0.584 0.584 0.799
O 0.176 0.176 0.562
O 0.244 0.685 0.748
O 0.273 0.273 0.964
O 0.315 0.756 0.252
O 0.317 0.317 0.326
O 0.683 0.683 0.674
O 0.685 0.244 0.748
O 0.727 0.727 0.036
O 0.756 0.315 0.252
O 0.824 0.824 0.438

Largest 10 diffraction maxima, by angle, 10° ≤ 2θ ≤ 80°:
13.0 deg, rel. 29
17.7 deg, rel. 74
24.0 deg, rel. 100
25.3 deg, rel. 23
26.6 deg, rel. 61
31.0 deg, rel. 100
32.0 deg, rel. 42
34.1 deg, rel. 73
49.2 deg, rel. 27
51.2 deg, rel. 38